Calculated PXRD pattern of CdMo6Se8 for λ = 1.5418 Å (Cu Kα), from a structure optimized by DFT (GGA-PBE).
Peak positions follow from Bragg's law for the DFT cell and can differ from measured ones.

Crystal structure
Unit cell a=6.8308 b=6.8308 c=6.8308 alpha=91.51 beta=91.51 gamma=91.51
Atoms (fractional coordinates):
Cd1 0.0000 0.0000 0.0000
Mo1 0.2341 0.5536 0.4186
Mo2 0.4186 0.2341 0.5536
Mo3 0.4464 0.5814 0.7659
Mo4 0.5536 0.4186 0.2341
Mo5 0.5814 0.7659 0.4464
Mo6 0.7659 0.4464 0.5814
Se1 0.1255 0.3761 0.7400
Se2 0.2291 0.2291 0.2291
Se3 0.2600 0.8745 0.6239
Se4 0.3761 0.7400 0.1255
Se5 0.6239 0.2600 0.8745
Se6 0.7400 0.1255 0.3761
Se7 0.7709 0.7709 0.7709
Se8 0.8745 0.6239 0.2600

Largest 6 diffraction maxima, low angle first, 10° ≤ 2θ ≤ 90°:
2θ/deg, d [Å], Rel. int.
13.0, 6.826, 80
31.7, 2.825, 43
39.1, 2.303, 71
40.6, 2.222, 41
43.9, 2.063, 100
47.4, 1.918, 39

***

Calculated PXRD pattern of Eu2ZnP3Pt7 for λ = 1.5418 Å (Cu Kα), from a structure optimized by DFT (GGA-PBE).
Peak positions follow from Bragg's law for the DFT cell and can differ from measured ones.

Crystal structure
Unit cell a=13.8928 b=13.8928 c=13.8928 alpha=162.96 beta=162.96 gamma=24.19
Atoms (fractional coordinates):
Eu1 0.1646 0.1646 0.0000
Eu2 0.8354 0.8354 0.0000
Zn1 0.0000 0.0000 0.0000
P1 0.3807 0.3807 0.0000
P2 0.6193 0.6193 0.0000
P3 0.7500 0.2500 0.5000
Pt1 0.0716 0.5716 0.5000
Pt2 0.2930 0.2930 0.0000
Pt3 0.4284 0.9284 0.5000
Pt4 0.5000 0.5000 0.0000
Pt5 0.5711 0.0711 0.5000
Pt6 0.7070 0.7070 0.0000
Pt7 0.9289 0.4289 0.5000

Largest 6 diffraction maxima, low angle first, 10° ≤ 2θ ≤ 90°:
2θ/deg, d [Å], Rel. int.
31.4, 2.846, 38
36.7, 2.448, 100
36.9, 2.434, 31
44.0, 2.058, 59
64.0, 1.455, 19
76.1, 1.251, 24

***

Calculated PXRD pattern of SiMo3 for λ = 1.5418 Å (Cu Kα), from a structure optimized by DFT (GGA-PBE).
Peak positions follow from Bragg's law for the DFT cell and can differ from measured ones.

Crystal structure
Unit cell a=4.9194 b=4.9194 c=4.9194 alpha=90.00 beta=90.00 gamma=90.00
Atoms (fractional coordinates):
Si1 0.0000 0.0000 0.0000
Si2 0.5000 0.5000 0.5000
Mo1 0.0000 0.2500 0.5000
Mo2 0.0000 0.7500 0.5000
Mo3 0.2500 0.5000 0.0000
Mo4 0.5000 0.0000 0.2500
Mo5 0.5000 0.0000 0.7500
Mo6 0.7500 0.5000 0.0000

Largest 6 diffraction maxima, low angle first, 10° ≤ 2θ ≤ 90°:
2θ/deg, d [Å], Rel. int.
25.6, 3.479, 22
36.5, 2.460, 15
41.0, 2.200, 100
45.1, 2.008, 31
68.8, 1.364, 21
71.8, 1.315, 15